For MnInAg2, a cell relaxed with PBE gives the theoretical XRD peak list in this record (Cu Kα X-rays).

Atomic structure:
```
MnInAg2
1.0
4.1669 0.0000 0.0000
0.0000 4.1669 0.0000
0.0000 0.0000 4.2109
Mn In Ag
1 1 2
direct
0.0000 0.0000 0.0000
0.5000 0.5000 0.0000
0.0000 0.5000 0.5000
0.5000 0.0000 0.5000
```

Top 10 peaks for 10° ≤ 2θ ≤ 80°, low angle first:
| 2θ/deg | I_rel | hkl |
| --- | --- | --- |
| 21.3 | 5 | 1 0 0 |
| 30.2 | 4 | 1 0 1 |
| 37.2 | 100 | 1 1 1 |
| 43.0 | 16 | 0 0 2 |
| 43.4 | 32 | 2 0 0 |
| 62.7 | 20 | 2 0 2 |
| 63.1 | 10 | 2 2 0 |
| 74.9 | 12 | 1 1 3 |
| 75.6 | 23 | 3 1 1 |
| 79.4 | 10 | 2 2 2 |